# 1
Diffraction record for Mn10CdN8. The powder diffractogram is computed, not measured: it uses DFT lattice parameters and positions (GGA-PBE) and a wavelength of 1.5418 Å.
No peak broadening, texture or thermal motion is included.

Peak list (12 most intense, 10 to 90 degrees two-theta, sorted by position)
- 2θ = 11.8°, intensity 29.4, hkl 0 0 1
- 2θ = 24.8°, intensity 25.7, hkl 1 1 -1
- 2θ = 31.3°, intensity 28.8, hkl 1 1 -2
- 2θ = 33.5°, intensity 33.1, hkl 4 0 -3
- 2θ = 35.9°, intensity 43.2, hkl 1 1 2
- 2θ = 37.8°, intensity 100.0, hkl 5 1 -1
- 2θ = 39.4°, intensity 24.7, hkl 3 1 -3
- 2θ = 40.6°, intensity 26.3, hkl 1 1 -3
- 2θ = 44.1°, intensity 20.1, hkl 4 0 2
- 2θ = 45.8°, intensity 57.8, hkl 0 2 0
- 2θ = 46.8°, intensity 20.9, hkl 6 0 -4
- 2θ = 62.4°, intensity 23.1, hkl 10 0 -2

```
data_Mn10CdN8
_cell_length_a 15.004
_cell_length_b 3.964
_cell_length_c 8.443
_cell_angle_alpha 90.00
_cell_angle_beta 117.67
_cell_angle_gamma 90.00
_symmetry_space_group_name_H-M 'C 1 2/m 1'
_symmetry_Int_Tables_number 12
loop_
_symmetry_equiv_pos_as_xyz
'x,y,z'
'-x,-y,-z'
'-x,y,-z'
'x,-y,z'
'x+1/2,y+1/2,z'
'-x+1/2,-y+1/2,-z'
'-x+1/2,y+1/2,-z'
'x+1/2,-y+1/2,z'
loop_
_atom_site_label
_atom_site_type_symbol
_atom_site_fract_x
_atom_site_fract_y
_atom_site_fract_z
Mn1 Mn 0.043 0.000 0.202
Mn2 Mn 0.098 0.500 0.999
Mn3 Mn 0.182 0.500 0.396
Mn4 Mn 0.192 0.000 0.888
Mn5 Mn 0.223 0.000 0.216
Cd1 Cd 0.000 0.500 0.500
N1 N 0.047 0.500 0.183
N2 N 0.100 0.000 0.996
N3 N 0.181 0.500 0.870
N4 N 0.183 0.000 0.398
```


# 2
Diffraction record for Mn2CdN2. The powder diffractogram is computed, not measured: it uses DFT lattice parameters and positions (GGA-PBE) and a wavelength of 1.5418 Å.
No peak broadening, texture or thermal motion is included.

Peak list (12 most intense, 10 to 90 degrees two-theta, sorted by position)
- 2θ = 22.8°, intensity 66.5, hkl 0 4 0
- 2θ = 32.3°, intensity 64.5, hkl 0 1 1
- 2θ = 32.7°, intensity 25.1, hkl 1 1 0
- 2θ = 34.5°, intensity 51.3, hkl 0 6 0
- 2θ = 36.6°, intensity 79.1, hkl 1 3 0
- 2θ = 43.2°, intensity 60.6, hkl 0 5 1
- 2θ = 47.4°, intensity 100.0, hkl 1 2 1
- 2θ = 51.8°, intensity 16.3, hkl 1 4 1
- 2θ = 52.6°, intensity 28.2, hkl 1 7 0
- 2θ = 67.4°, intensity 49.2, hkl 2 0 0
- 2θ = 78.2°, intensity 16.1, hkl 1 3 2
- 2θ = 83.5°, intensity 16.6, hkl 2 5 1

```
data_Mn2CdN2
_cell_length_a 2.780
_cell_length_b 15.614
_cell_length_c 2.819
_cell_angle_alpha 90.00
_cell_angle_beta 90.00
_cell_angle_gamma 90.00
_symmetry_space_group_name_H-M 'P m m n'
_symmetry_Int_Tables_number 59
loop_
_symmetry_equiv_pos_as_xyz
'x,y,z'
'-x,-y,-z'
'-x+1/2,-y+1/2,z'
'x+1/2,y+1/2,-z'
'x+1/2,-y,-z'
'-x+1/2,y,z'
'-x,y+1/2,-z'
'x,-y+1/2,z'
loop_
_atom_site_label
_atom_site_type_symbol
_atom_site_fract_x
_atom_site_fract_y
_atom_site_fract_z
Mn1 Mn 0.250 0.055 0.250
Cd1 Cd 0.250 0.750 0.737
N1 N 0.250 0.573 0.250
```


Copy entry 2 word for word.
Diffraction record for Mn2CdN2. The powder diffractogram is computed, not measured: it uses DFT lattice parameters and positions (GGA-PBE) and a wavelength of 1.5418 Å.
No peak broadening, texture or thermal motion is included.

Peak list (12 most intense, 10 to 90 degrees two-theta, sorted by position)
- 2θ = 22.8°, intensity 66.5, hkl 0 4 0
- 2θ = 32.3°, intensity 64.5, hkl 0 1 1
- 2θ = 32.7°, intensity 25.1, hkl 1 1 0
- 2θ = 34.5°, intensity 51.3, hkl 0 6 0
- 2θ = 36.6°, intensity 79.1, hkl 1 3 0
- 2θ = 43.2°, intensity 60.6, hkl 0 5 1
- 2θ = 47.4°, intensity 100.0, hkl 1 2 1
- 2θ = 51.8°, intensity 16.3, hkl 1 4 1
- 2θ = 52.6°, intensity 28.2, hkl 1 7 0
- 2θ = 67.4°, intensity 49.2, hkl 2 0 0
- 2θ = 78.2°, intensity 16.1, hkl 1 3 2
- 2θ = 83.5°, intensity 16.6, hkl 2 5 1

```
data_Mn2CdN2
_cell_length_a 2.780
_cell_length_b 15.614
_cell_length_c 2.819
_cell_angle_alpha 90.00
_cell_angle_beta 90.00
_cell_angle_gamma 90.00
_symmetry_space_group_name_H-M 'P m m n'
_symmetry_Int_Tables_number 59
loop_
_symmetry_equiv_pos_as_xyz
'x,y,z'
'-x,-y,-z'
'-x+1/2,-y+1/2,z'
'x+1/2,y+1/2,-z'
'x+1/2,-y,-z'
'-x+1/2,y,z'
'-x,y+1/2,-z'
'x,-y+1/2,z'
loop_
_atom_site_label
_atom_site_type_symbol
_atom_site_fract_x
_atom_site_fract_y
_atom_site_fract_z
Mn1 Mn 0.250 0.055 0.250
Cd1 Cd 0.250 0.750 0.737
N1 N 0.250 0.573 0.250
```